No. 1
The following is a calculated PXRD pattern of LiVF4. It was derived from the PBE+U geometry in the Materials Project, using Cu Ka.
No peak broadening, texture or thermal motion is included.

Main lines, most intense first (2θ = 10–80°):
| 2θ/deg | I_rel |
| --- | --- |
| 17.85 | 100.0 |
| 20.57 | 44.8 |
| 39.42 | 44.0 |
| 45.98 | 15.9 |
| 29.71 | 14.2 |
| 60.92 | 14.0 |
| 36.07 | 10.5 |
| 29.39 | 9.3 |
| 63.28 | 9.1 |
| 52.27 | 8.8 |

Cell and atoms:
Cell lengths 5.2898, 6.3116, 10.5377 Å; angles 90.00, 109.71, 90.00 degrees
Space group P2_1/c (No. 14)
Inequivalent atoms, fractional coordinates:
Li 0.1062 0.1088 0.4197
V 0.4942 0.6470 0.7513
F 0.1228 0.6702 0.6596
F 0.1506 0.1251 0.6106
F 0.4044 0.1102 0.3538
F 0.4491 0.5921 0.3550


No. 2
The following is a calculated PXRD pattern of MnSbO4. It was derived from the PBE+U geometry in the Materials Project, using Cu Ka.
No peak broadening, texture or thermal motion is included.

Main lines, most intense first (2θ = 10–80°):
| 2θ/deg | I_rel |
| --- | --- |
| 23.79 | 100.0 |
| 23.94 | 98.2 |
| 36.55 | 44.2 |
| 52.69 | 29.8 |
| 37.40 | 28.8 |
| 44.64 | 23.8 |
| 44.98 | 23.2 |
| 51.28 | 22.9 |
| 51.51 | 22.7 |
| 18.45 | 17.2 |

Cell and atoms:
Cell lengths 4.0307, 4.0599, 9.6177 Å; angles 90.00, 90.00, 90.00 degrees
Space group Imm2 (No. 44)
Inequivalent atoms, fractional coordinates:
Mn 0.0000 0.0000 0.0000
Sb 0.0000 0.5000 0.7496
O 0.0000 0.0000 0.2034
O 0.0000 0.0000 0.7929
O 0.0000 0.5000 0.5460
O 0.0000 0.5000 0.9506


No. 3
The following is a calculated PXRD pattern of ZnCoSi2O6. It was derived from the PBE+U geometry in the Materials Project, using Cu Ka.
No peak broadening, texture or thermal motion is included.

Main lines, most intense first (2θ = 10–80°):
| 2θ/deg | I_rel |
| --- | --- |
| 33.46 | 100.0 |
| 30.62 | 80.7 |
| 28.29 | 78.3 |
| 19.24 | 75.6 |
| 27.22 | 69.6 |
| 13.51 | 67.2 |
| 40.38 | 61.9 |
| 36.03 | 58.8 |
| 42.11 | 53.8 |
| 54.76 | 52.9 |

Cell and atoms:
Cell lengths 9.9680, 9.3070, 5.3870 Å; angles 90.00, 112.25, 90.00 degrees
Space group C2/c (No. 15)
Inequivalent atoms, fractional coordinates:
Zn 0.0000 0.2293 0.2500
Co 0.0000 0.1087 0.7500
Si 0.1962 0.4163 0.7281
O 0.1200 0.2605 0.6262
O 0.1248 0.0837 0.1458
O 0.1434 0.4772 0.9635


No. 4
The following is a calculated PXRD pattern of MoP4O12. It was derived from the PBE+U geometry in the Materials Project, using Cu Ka.
No peak broadening, texture or thermal motion is included.

Main lines, most intense first (2θ = 10–80°):
| 2θ/deg | I_rel |
| --- | --- |
| 29.11 | 100.0 |
| 14.13 | 88.4 |
| 18.46 | 77.4 |
| 23.54 | 53.7 |
| 19.75 | 35.6 |
| 30.38 | 28.2 |
| 13.13 | 27.8 |
| 31.60 | 21.0 |
| 35.90 | 20.6 |
| 25.88 | 18.4 |

Cell and atoms:
Cell lengths 12.7095, 8.3957, 10.0878 Å; angles 90.00, 116.99, 90.00 degrees
Space group C2/c (No. 15)
Inequivalent atoms, fractional coordinates:
Mo 0.2500 0.2500 0.0000
P 0.0053 0.2427 0.0316
P 0.1737 0.0172 0.6851
O 0.0094 0.3853 0.3974
O 0.0632 0.0944 0.1512
O 0.0751 0.2438 0.9386
O 0.1221 0.1666 0.5782
O 0.2234 0.0737 0.8440
O 0.2378 0.4318 0.8513


No. 5
The following is a calculated PXRD pattern of Ba2MnCdFe2F14. It was derived from the PBE+U geometry in the Materials Project, using Cu Ka.
No peak broadening, texture or thermal motion is included.

Main lines, most intense first (2θ = 10–80°):
| 2θ/deg | I_rel |
| --- | --- |
| 25.08 | 100.0 |
| 29.33 | 36.5 |
| 27.87 | 35.1 |
| 29.53 | 32.0 |
| 43.05 | 29.3 |
| 26.54 | 25.3 |
| 43.75 | 23.4 |
| 40.58 | 22.5 |
| 32.86 | 21.9 |
| 20.99 | 19.9 |

Cell and atoms:
Cell lengths 14.0388, 5.4514, 15.1418 Å; angles 90.00, 91.09, 90.00 degrees
Space group C2/c (No. 15)
Inequivalent atoms, fractional coordinates:
Ba 0.1905 0.0424 0.1218
Mn 0.0000 0.5000 0.0000
Cd 0.0000 0.4506 0.7500
Fe 0.1200 0.0009 0.8756
F 0.0079 0.1055 0.6572
F 0.0568 0.4066 0.1244
F 0.0833 0.1741 0.4827
F 0.1253 0.2804 0.2979
F 0.1290 0.2997 0.9525
F 0.1650 0.2107 0.7783
F 0.2493 0.4425 0.5882